Theoretical powder XRD pattern
Compound: Y3Tm8Th
Radiation: Cu Kα, 1.54184 Å
Structure: a structure optimized by DFT (GGA-PBE)
Lines closer than 0.1° are merged.

Principal peaks in the range 2θ = 10–80°, sorted by position:
(hkl)  2θ (°)  Rel. int.
0 0 2  28.72  24
0 4 0  31.99  24
3 2 1  32.96  100
6 0 0  50.88  20
3 6 1  57.63  20
6 4 0  61.37  22

Atomic structure:
```
data_Y3Tm8Th
_chemical_formula_sum 'Y6 Tm16 Th2'
_space_group_name_H-M_alt 'I m m 2'
_space_group_IT_number 44
_cell_length_a 10.779
_cell_length_b 11.192
_cell_length_c 6.212
_cell_angle_alpha 90.00
_cell_angle_beta 90.00
_cell_angle_gamma 90.00
loop_
_space_group_symop_operation_xyz
'x,y,z'
'-x,-y,z'
'-x,y,z'
'x,-y,z'
'x+1/2,y+1/2,z+1/2'
'-x+1/2,-y+1/2,z+1/2'
'-x+1/2,y+1/2,z+1/2'
'x+1/2,-y+1/2,z+1/2'
loop_
_atom_site_label
_atom_site_fract_x
_atom_site_fract_y
_atom_site_fract_z
Y1 0.000 0.000 0.000
Y2 0.000 0.250 0.664
Tm1 0.165 0.250 0.159
Tm2 0.167 0.500 0.491
Tm3 0.170 0.000 0.495
Th1 0.000 0.500 0.999
```

Theoretical powder XRD pattern
Compound: TmTl2Cd
Radiation: Cu Kα, 1.54184 Å
Structure: a structure optimized by DFT (GGA-PBE)
Lines closer than 0.1° are merged.

Principal peaks in the range 2θ = 10–80°, sorted by position:
(hkl)  2θ (°)  Rel. int.
1 1 1  33.29  100
2 0 0  38.01  35
0 0 2  39.83  15
2 0 2  56.23  23
3 1 1  65.68  28
1 1 3  68.17  13

Atomic structure:
```
data_TmTl2Cd
_chemical_formula_sum 'Tm1 Tl2 Cd1'
_space_group_name_H-M_alt 'P 4/m m m'
_space_group_IT_number 123
_space_group_name_Hall '-P 4 2'
_cell_length_a 4.735
_cell_length_b 4.735
_cell_length_c 4.526
_cell_angle_alpha 90.00
_cell_angle_beta 90.00
_cell_angle_gamma 90.00
loop_
_atom_site_label
_atom_site_fract_x
_atom_site_fract_y
_atom_site_fract_z
Tm1 0.000 0.000 0.000
Tl1 0.000 0.500 0.500
Cd1 0.500 0.500 0.000
```